Theoretical powder diffraction line list
Compound: MgZnHg4
Radiation: Cu Kα (λ = 1.5418 Å)
Structure: DFT lattice parameters and positions (GGA-PBE)
Intensities are scaled so that the largest is 100.

Atomic structure:
Lattice parameters (Å, degrees): 6.5498 6.5498 6.5783 90.00 90.00 90.00
Space group P4/mbm (No. 127)
Symmetry-distinct sites (fractional):
Mg 0.0000 0.0000 0.0000
Zn 0.0000 0.0000 0.5000
Hg 0.1689 0.3311 0.2591

The 10 most intense peaks (10 to 90 degrees two-theta), by angle:
| h k l | 2θ (°) | d/Å | I (rel.) |
| --- | --- | --- | --- |
| 0 0 2 | 27.1 | 3.289 | 46 |
| 2 0 0 | 27.2 | 3.275 | 19 |
| 2 1 0 | 30.5 | 2.929 | 100 |
| 1 1 2 | 33.4 | 2.682 | 19 |
| 2 0 2 | 38.8 | 2.320 | 47 |
| 2 1 2 | 41.3 | 2.187 | 89 |
| 3 1 0 | 43.7 | 2.071 | 25 |
| 2 1 4 | 65.0 | 1.434 | 23 |
| 4 1 2 | 65.2 | 1.430 | 26 |
| 3 3 2 | 67.0 | 1.398 | 24 |